No. 1
Starting from a structure optimized by DFT (PBE), the powder diffractogram of Sm4ThIn was simulated for Cu Kα, 1.54184 Å.
Peak positions follow from Bragg's law for the DFT cell and can differ from measured ones.

Structure:
Cell lengths 9.073, 14.368, 6.416 Å; angles 90.00, 111.50, 90.00 degrees
Space group C2/c (No. 15)
Inequivalent atoms, fractional coordinates:
Sm 0.106 0.187 0.060
Sm 0.209 0.399 0.358
Th 0.000 0.391 0.750
In 0.000 0.001 0.750

Top 10 peaks for 5° ≤ 2θ ≤ 70°, by angle:
| (hkl) | 2θ/deg | Rel. int. |
| --- | --- | --- |
| 0 4 0 | 24.79 | 18 |
| 1 3 1 | 28.25 | 37 |
| 1 1 -2 | 28.51 | 37 |
| 3 1 -1 | 30.39 | 65 |
| 2 2 -2 | 32.22 | 21 |
| 0 2 2 | 32.48 | 18 |
| 2 2 1 | 32.61 | 100 |
| 1 5 0 | 32.93 | 58 |
| 1 3 -2 | 33.63 | 50 |
| 4 2 -3 | 51.88 | 22 |



No. 2
Starting from a structure optimized by DFT (PBE), the powder diffractogram of Cs3CuBr5 was simulated for Cu Kα, 1.54184 Å.
Peak positions follow from Bragg's law for the DFT cell and can differ from measured ones.

Structure:
Cell lengths 9.813, 9.813, 15.499 Å; angles 90.00, 90.00, 90.00 degrees
Space group I4/mcm (No. 140)
Inequivalent atoms, fractional coordinates:
Cs 0.000 0.000 0.250
Cs 0.164 0.336 0.000
Cu 0.000 0.500 0.250
Br 0.000 0.000 0.000
Br 0.137 0.363 0.346

Top 10 peaks for 5° ≤ 2θ ≤ 70°, by angle:
| (hkl) | 2θ/deg | Rel. int. |
| --- | --- | --- |
| 2 0 2 | 21.43 | 22 |
| 2 2 0 | 25.68 | 17 |
| 2 1 3 | 26.65 | 100 |
| 3 1 0 | 28.77 | 45 |
| 0 0 6 | 34.71 | 21 |
| 4 2 0 | 41.14 | 13 |
| 3 1 6 | 45.70 | 12 |
| 4 2 4 | 47.63 | 10 |
| 4 0 6 | 51.36 | 12 |
| 5 2 3 | 53.31 | 20 |



No. 3
Starting from a structure optimized by DFT (PBE), the powder diffractogram of CsNaF was simulated for Cu Kα, 1.54184 Å.
Peak positions follow from Bragg's law for the DFT cell and can differ from measured ones.

Structure:
Cell lengths 15.565, 4.207, 7.377 Å; angles 90.00, 105.41, 90.00 degrees
Space group Cm (No. 8)
Inequivalent atoms, fractional coordinates:
Cs 0.000 0.000 0.000
Cs 0.153 0.000 0.649
Na 0.292 0.500 0.229
Na 0.439 0.000 0.478
F 0.041 0.500 0.751
F 0.450 0.500 0.363

Top 10 peaks for 5° ≤ 2θ ≤ 70°, by angle:
| (hkl) | 2θ/deg | Rel. int. |
| --- | --- | --- |
| 2 0 0 | 11.80 | 98 |
| 2 0 1 | 19.34 | 100 |
| 1 1 0 | 21.94 | 91 |
| 4 0 -1 | 23.70 | 62 |
| 2 0 -2 | 24.69 | 69 |
| 1 1 1 | 26.08 | 72 |
| 3 1 -1 | 28.41 | 66 |
| 3 1 1 | 32.43 | 40 |
| 3 1 -2 | 34.22 | 53 |
| 2 2 1 | 47.58 | 34 |



No. 4
Starting from a structure optimized by DFT (PBE), the powder diffractogram of PrGaF was simulated for Cu Kα, 1.54184 Å.
Peak positions follow from Bragg's law for the DFT cell and can differ from measured ones.

Structure:
Cell lengths 3.810, 15.078, 4.174 Å; angles 90.00, 90.00, 90.00 degrees
Space group Cmcm (No. 63)
Inequivalent atoms, fractional coordinates:
Pr 0.000 0.143 0.250
Ga 0.000 0.454 0.250
F 0.000 0.252 0.750

Top 10 peaks for 5° ≤ 2θ ≤ 70°, by angle:
| (hkl) | 2θ/deg | Rel. int. |
| --- | --- | --- |
| 0 2 1 | 24.37 | 51 |
| 1 3 0 | 29.42 | 100 |
| 0 4 1 | 31.99 | 44 |
| 1 1 1 | 32.36 | 63 |
| 1 3 1 | 36.60 | 68 |
| 0 6 1 | 41.96 | 41 |
| 0 0 2 | 43.35 | 31 |
| 2 0 0 | 47.75 | 23 |
| 1 7 0 | 48.55 | 25 |
| 1 3 2 | 53.26 | 40 |



No. 5
Starting from a structure optimized by DFT (PBE), the powder diffractogram of Cd3SnPd was simulated for Cu Kα, 1.54184 Å.
Peak positions follow from Bragg's law for the DFT cell and can differ from measured ones.

Structure:
Cell lengths 3.130, 9.178, 7.855 Å; angles 90.00, 90.00, 90.00 degrees
Space group Pmmn (No. 59, origin choice 2)
Inequivalent atoms, fractional coordinates:
Cd 0.250 0.007 0.234
Cd 0.250 0.750 0.965
Sn 0.250 0.750 0.555
Pd 0.250 0.250 0.734

Top 10 peaks for 5° ≤ 2θ ≤ 70°, by angle:
| (hkl) | 2θ/deg | Rel. int. |
| --- | --- | --- |
| 0 2 2 | 29.95 | 53 |
| 0 1 3 | 35.66 | 24 |
| 1 2 1 | 36.59 | 100 |
| 1 1 2 | 38.05 | 55 |
| 0 4 0 | 39.27 | 41 |
| 1 0 3 | 45.15 | 14 |
| 0 3 3 | 45.60 | 16 |
| 1 3 2 | 47.58 | 22 |
| 1 5 2 | 63.33 | 15 |
| 1 6 1 | 69.43 | 14 |



No. 6
Starting from a structure optimized by DFT (PBE), the powder diffractogram of KBa15Ca4 was simulated for Cu Kα, 1.54184 Å.
Peak positions follow from Bragg's law for the DFT cell and can differ from measured ones.

Structure:
Cell lengths 6.864, 6.864, 24.968 Å; angles 90.00, 90.00, 90.00 degrees
Space group P4/mmm (No. 123)
Inequivalent atoms, fractional coordinates:
K 0.000 0.000 0.000
Ba 0.000 0.500 0.111
Ba 0.000 0.500 0.305
Ba 0.000 0.500 0.500
Ba 0.500 0.500 0.000
Ba 0.500 0.500 0.208
Ba 0.500 0.500 0.403
Ca 0.000 0.000 0.211
Ca 0.000 0.000 0.402

Top 10 peaks for 5° ≤ 2θ ≤ 70°, by angle:
| (hkl) | 2θ/deg | Rel. int. |
| --- | --- | --- |
| 1 0 0 | 12.90 | 10 |
| 1 1 5 | 25.59 | 100 |
| 2 0 0 | 25.96 | 51 |
| 0 0 10 | 35.97 | 9 |
| 2 2 0 | 37.04 | 20 |
| 2 0 10 | 44.89 | 18 |
| 3 1 5 | 45.57 | 41 |
| 2 2 10 | 52.59 | 11 |
| 3 3 5 | 60.12 | 9 |
| 4 2 0 | 60.30 | 9 |



No. 7
Starting from a structure optimized by DFT (PBE), the powder diffractogram of Cu2NiPd6 was simulated for Cu Kα, 1.54184 Å.
Peak positions follow from Bragg's law for the DFT cell and can differ from measured ones.

Structure:
Cell lengths 3.934, 11.070, 11.772 Å; angles 90.00, 90.00, 90.00 degrees
Space group Fmmm (No. 69)
Inequivalent atoms, fractional coordinates:
Cu 0.000 0.000 0.168
Ni 0.000 0.000 0.500
Pd 0.000 0.157 0.000
Pd 0.000 0.159 0.334

Top 10 peaks for 5° ≤ 2θ ≤ 70°, by angle:
| (hkl) | 2θ/deg | Rel. int. |
| --- | --- | --- |
| 0 2 0 | 16.01 | 1 |
| 0 4 0 | 32.35 | 4 |
| 1 1 3 | 33.25 | 5 |
| 1 3 3 | 40.65 | 100 |
| 2 0 0 | 46.15 | 18 |
| 0 0 6 | 46.27 | 17 |
| 0 6 0 | 49.40 | 13 |
| 2 0 6 | 67.42 | 11 |
| 1 7 3 | 68.24 | 3 |
| 2 6 0 | 69.95 | 18 |



No. 8
Starting from a structure optimized by DFT (PBE), the powder diffractogram of LiIn6 was simulated for Cu Kα, 1.54184 Å.
Peak positions follow from Bragg's law for the DFT cell and can differ from measured ones.

Structure:
Cell lengths 5.3614, 5.3614, 21.8003 Å; angles 90.00, 90.00, 120.00 degrees
Space group R-3m (No. 166, hexagonal axes)
Inequivalent atoms, fractional coordinates:
Li 0.0000 0.0000 0.0000
In 0.0000 0.0000 0.1353
In 0.0000 0.0000 0.2790
In 0.0000 0.0000 0.4257

Top 10 peaks for 5° ≤ 2θ ≤ 70°, by angle:
| (hkl) | 2θ/deg | Rel. int. |
| --- | --- | --- |
| 0 0 3 | 12.18 | 8 |
| 0 1 2 | 20.79 | 7 |
| 0 0 6 | 24.50 | 8 |
| 1 1 0 | 33.43 | 100 |
| 1 0 7 | 34.68 | 84 |
| 1 1 6 | 41.88 | 12 |
| 0 2 7 | 48.94 | 31 |
| 3 0 0 | 59.75 | 18 |
| 2 1 7 | 60.56 | 32 |
| 0 1 14 | 62.96 | 11 |